SrDy2Fe2O7: calculated powder XRD pattern (Cu Kα, 1.54184 Å), based on DFT lattice parameters and positions (PBE+U).
Peak positions follow from Bragg's law for the DFT cell and can differ from measured ones.

Cell and atoms:
a b c (Å): 10.5396 10.5396 10.5396
angles (deg): 158.87 158.87 30.05
Atoms (fractional coordinates):
Sr (0.0000, 0.0000, 0.0000)
Dy (0.6334, 0.6334, 0.0000)
Dy (0.8266, 0.8266, 0.0000)
Fe (0.2137, 0.2137, 0.0000)
Fe (0.4150, 0.4150, 0.0000)
O (0.1111, 0.1111, 0.0000)
O (0.2043, 0.7043, 0.5000)
O (0.3104, 0.3104, 0.0000)
O (0.4004, 0.9004, 0.5000)
O (0.5157, 0.5157, 0.0000)
O (0.7043, 0.2043, 0.5000)
O (0.9004, 0.4004, 0.5000)

Largest 10 diffraction maxima, in order of rising 2θ, 10 to 80 degrees two-theta:
2theta, intensity
23.43, 23
26.26, 11
31.93, 100
32.78, 62
42.48, 25
44.50, 11
47.03, 34
56.36, 17
57.97, 37
66.75, 12